Calculated powder X-ray diffraction pattern
Compound: LiAg4Cl8
Radiation: λ = 1.5418 Å (Cu Kα)
Structure: a crystal structure in Alexandria, relaxed with GGA-PBE
Peak positions follow from Bragg's law for the DFT cell and can differ from measured ones.

Peak list (10 most intense, 2θ from 10° to 90°, most intense first)
| 2θ/deg | d (Å) | I/Imax | (hkl) |
| --- | --- | --- | --- |
| 14.62 | 6.057 | 100 | 2 0 -1 |
| 34.90 | 2.570 | 63 | 2 2 -2 |
| 28.46 | 3.137 | 56 | 4 0 0 |
| 27.87 | 3.201 | 43 | 0 2 1 |
| 24.05 | 3.700 | 37 | 2 0 1 |
| 44.67 | 2.029 | 29 | 2 2 2 |
| 46.58 | 1.950 | 26 | 6 2 -2 |
| 35.14 | 2.554 | 24 | 4 2 -1 |
| 44.87 | 2.020 | 14 | 6 0 -3 |
| 57.77 | 1.596 | 13 | 4 4 0 |

Atomic structure:
Unit cell a=14.103 b=7.415 c=7.145 alpha=90.00 beta=117.17 gamma=90.00
Space group C2/m (No. 12)
Inequivalent atoms, fractional coordinates:
Li 0.000 0.000 0.000 [2 per cell]
Ag 0.000 0.000 0.500 [2 per cell]
Ag 0.000 0.500 0.500 [2 per cell]
Ag 0.250 0.250 0.000 [4 per cell]
Cl 0.000 0.234 0.254 [8 per cell]
Cl 0.237 0.000 0.225 [4 per cell]
Cl 0.244 0.500 0.229 [4 per cell]